No. 1
Starting from a crystal structure in Alexandria, relaxed with PBE, the PXRD pattern of V2RhSe5 was computed for Cu Kα X-rays.
Neutral-atom scattering factors, no anomalous dispersion.

Peak list (10 most intense, 2θ from 10° to 90°, by angle)
d (Å)	Rel. int.
6.208	100
4.083	22
2.800	20
2.505	56
2.293	34
2.243	29
2.163	24
2.152	18
1.949	26
1.603	20

Cell and atoms:
```
data_V2RhSe5
_chemical_formula_sum 'V8 Rh4 Se20'
_cell_length_a 4.5856
_cell_length_b 12.4162
_cell_length_c 12.9781
_cell_angle_alpha 90.00
_cell_angle_beta 90.00
_cell_angle_gamma 90.00
_space_group_name_H-M_alt 'F m m m'
_space_group_IT_number 69
_space_group_name_Hall '-F 2 2'
loop_
_atom_site_label
_atom_site_fract_x
_atom_site_fract_y
_atom_site_fract_z
V1 0.0000 0.0000 0.1915
Rh1 0.0000 0.0000 0.5000
Se1 0.0000 0.0000 0.0000
Se2 0.0000 0.1252 0.3409
```



No. 2
Starting from a crystal structure in Alexandria, relaxed with PBE, the PXRD pattern of RhWSe was computed for Cu Kα X-rays.
Neutral-atom scattering factors, no anomalous dispersion.

Peak list (10 most intense, 2θ from 10° to 90°, by angle)
d (Å)	Rel. int.
6.380	80
2.581	89
2.436	67
2.241	62
2.127	36
2.032	100
1.834	35
1.522	48
1.238	38
1.218	19

Cell and atoms:
```
data_RhWSe
_chemical_formula_sum 'Rh4 W4 Se4'
_cell_length_a 12.7600
_cell_length_b 3.0440
_cell_length_c 5.2716
_cell_angle_alpha 90.00
_cell_angle_beta 90.00
_cell_angle_gamma 90.00
_space_group_name_H-M_alt 'A m m 2'
_space_group_IT_number 38
loop_
_space_group_symop_operation_xyz
'x,y,z'
'-x,-y,z'
'-x,y,z'
'x,-y,z'
'x,y+1/2,z+1/2'
'-x,-y+1/2,z+1/2'
'-x,y+1/2,z+1/2'
'x,-y+1/2,z+1/2'
loop_
_atom_site_label
_atom_site_fract_x
_atom_site_fract_y
_atom_site_fract_z
Rh1 0.1573 0.0000 0.0000
W1 0.0000 0.0000 0.6665
W2 0.5000 0.0000 0.3348
Se1 0.3588 0.0000 0.0015
```



No. 3
Starting from a crystal structure in Alexandria, relaxed with PBE, the PXRD pattern of ZrRhSe was computed for Cu Kα X-rays.
Neutral-atom scattering factors, no anomalous dispersion.

Peak list (10 most intense, 2θ from 10° to 90°, by angle)
d (Å)	Rel. int.
3.490	18
2.713	100
2.550	32
2.254	18
2.122	35
2.077	83
2.030	22
1.649	22
1.291	19
1.271	27

Cell and atoms:
```
data_ZrRhSe
_chemical_formula_sum 'Zr6 Rh6 Se6'
_cell_length_a 4.1531
_cell_length_b 4.1531
_cell_length_c 28.9155
_cell_angle_alpha 90.00
_cell_angle_beta 90.00
_cell_angle_gamma 120.00
_space_group_name_H-M_alt 'R -3 m'
_space_group_IT_number 166
_space_group_name_Hall '-R 3 2"'
loop_
_atom_site_label
_atom_site_fract_x
_atom_site_fract_y
_atom_site_fract_z
Zr1 0.0000 0.0000 0.0617
Rh1 0.0000 0.0000 0.3326
Se1 0.0000 0.0000 0.2244
```